No. 1
Structure and calculated powder X-ray diffraction pattern of SmCuBr6 (DFT lattice parameters and positions (GGA-PBE); Cu Kα (λ = 1.5418 Å)).
Intensities are scaled so that the largest is 100.

Structural model:
Cell lengths 5.7728, 7.1730, 7.8557 Å; angles 71.84, 74.48, 86.18 degrees
Atoms (fractional coordinates):
Sm 0.0000 0.0000 0.0000
Cu 0.5000 0.5000 0.0000
Br 0.0239 0.8126 0.3618
Br 0.2706 0.3755 0.8415
Br 0.4345 0.8213 0.8228
Br 0.5655 0.1787 0.1772
Br 0.7294 0.6245 0.1585
Br 0.9761 0.1874 0.6382

Principal peaks in the range 2θ from 10° to 90°, sorted by position:
2θ/deg	intensity
12.3	100.0
19.6	29.6
20.4	31.7
24.0	75.2
25.7	34.7
28.5	43.6
32.3	31.3
41.7	28.9

=====

No. 2
Structure and calculated powder X-ray diffraction pattern of CuSnBr4 (DFT lattice parameters and positions (GGA-PBE); Cu Kα (λ = 1.5418 Å)).
Intensities are scaled so that the largest is 100.

Structural model:
Cell lengths 6.9175, 6.9828, 10.3357 Å; angles 90.00, 90.00, 90.00 degrees
Atoms (fractional coordinates):
Cu 0.0000 0.0000 0.0000
Cu 0.0000 0.5000 0.5000
Sn 0.0000 0.0000 0.5000
Sn 0.5000 0.0000 0.0000
Br 0.2065 0.2799 0.3746
Br 0.2065 0.7201 0.6254
Br 0.2250 0.2004 0.8715
Br 0.2250 0.7996 0.1285
Br 0.7750 0.2004 0.1285
Br 0.7750 0.7996 0.8715
Br 0.7935 0.2799 0.6254
Br 0.7935 0.7201 0.3746

Principal peaks in the range 2θ from 10° to 90°, sorted by position:
2θ/deg	intensity
12.7	24.0
12.8	23.9
15.3	26.2
15.4	28.5
25.0	100.0
36.6	38.0
43.6	26.0
43.7	26.9

=====

No. 3
Structure and calculated powder X-ray diffraction pattern of Cu2Sn2Br7 (DFT lattice parameters and positions (GGA-PBE); Cu Kα (λ = 1.5418 Å)).
Intensities are scaled so that the largest is 100.

Structural model:
Cell lengths 7.4301, 7.4301, 7.8114 Å; angles 91.38, 91.38, 104.60 degrees
Atoms (fractional coordinates):
Cu 0.1967 0.1967 0.3054
Cu 0.8033 0.8033 0.6946
Sn 0.3222 0.6778 0.0000
Sn 0.6778 0.3222 0.0000
Br 0.0000 0.0000 0.5000
Br 0.0712 0.4433 0.2464
Br 0.3652 0.3652 0.8108
Br 0.4433 0.0712 0.2464
Br 0.5567 0.9288 0.7536
Br 0.6348 0.6348 0.1892
Br 0.9288 0.5567 0.7536

Principal peaks in the range 2θ from 10° to 90°, sorted by position:
2θ/deg	intensity
17.0	100.0
22.3	26.7
27.5	34.8
27.7	43.1
29.6	58.0
30.8	38.7
34.2	34.5
41.4	28.2

=====

No. 4
Structure and calculated powder X-ray diffraction pattern of Tl3Cu2SnBr9 (DFT lattice parameters and positions (GGA-PBE); Cu Kα (λ = 1.5418 Å)).
Intensities are scaled so that the largest is 100.

Structural model:
Cell lengths 7.5178, 7.5178, 9.3035 Å; angles 90.00, 90.00, 120.00 degrees
Atoms (fractional coordinates):
Tl 0.0000 0.0000 0.0000
Tl 0.3333 0.6667 0.7165
Tl 0.6667 0.3333 0.2835
Cu 0.3333 0.6667 0.1534
Cu 0.6667 0.3333 0.8466
Sn 0.0000 0.0000 0.5000
Br 0.0000 0.5000 0.0000
Br 0.1711 0.3423 0.3251
Br 0.1711 0.8289 0.3251
Br 0.3423 0.1711 0.6749
Br 0.5000 0.0000 0.0000
Br 0.5000 0.5000 0.0000
Br 0.6577 0.8289 0.3251
Br 0.8289 0.1711 0.6749
Br 0.8289 0.6577 0.6749

Principal peaks in the range 2θ from 10° to 90°, sorted by position:
2θ/deg	intensity
23.5	36.8
23.7	37.4
29.1	70.1
33.6	100.0
41.6	24.6
48.1	26.0
48.4	37.5
60.2	18.3